This entry pairs a crystal structure of FeRe2HgAu with its calculated powder diffractogram. Radiation: Cu Kα (weighted mean of Kα1 and Kα2). Structure: DFT lattice parameters and positions (GGA-PBE).

Cell and atoms:
Cell: 4.4316 4.4316 4.8471 Å, 90.00 90.00 90.00°
Element x y z (fractional)
Fe (0.0000, 0.0000, 0.0000)
Re (0.0000, 0.5000, 0.0000)
Re (0.5000, 0.0000, 0.0000)
Hg (0.0000, 0.0000, 0.5000)
Au (0.5000, 0.5000, 0.5000)

Largest 10 diffraction maxima, in order of falling intensity, 10° ≤ 2θ ≤ 90°:
2theta	intensity
34.1	100
40.7	42
56.3	33
37.1	27
69.9	26
64.9	16
71.7	16
58.9	14
88.2	5
79.0	3

---

This entry pairs a crystal structure of LiI with its calculated powder diffractogram. Radiation: Cu Kα (weighted mean of Kα1 and Kα2). Structure: DFT lattice parameters and positions (GGA-PBE).

Cell and atoms:
Cell: 8.1000 7.7898 7.1214 Å, 65.63 61.16 53.21°
Element x y z (fractional)
Li (0.0157, 0.0157, 0.7343)
Li (0.2657, 0.2657, 0.9843)
Li (0.7343, 0.7343, 0.0157)
Li (0.9843, 0.9843, 0.2657)
I (0.0829, 0.6671, 0.0829)
I (0.3329, 0.9171, 0.3329)
I (0.6671, 0.0829, 0.6671)
I (0.9171, 0.3329, 0.9171)

Largest 10 diffraction maxima, in order of falling intensity, 10° ≤ 2θ ≤ 90°:
2theta	intensity
23.6	100
22.2	89
25.1	63
38.8	59
28.0	31
44.1	28
29.1	28
14.4	27
34.9	20
44.6	18

---

This entry pairs a crystal structure of Co3B with its calculated powder diffractogram. Radiation: Cu Kα (weighted mean of Kα1 and Kα2). Structure: DFT lattice parameters and positions (GGA-PBE).

Cell and atoms:
Cell: 4.3706 4.3706 6.7163 Å, 90.00 90.00 144.49°
Element x y z (fractional)
Co (0.0732, 0.9268, 0.7500)
Co (0.3646, 0.6354, 0.5614)
Co (0.3646, 0.6354, 0.9386)
Co (0.6354, 0.3646, 0.0614)
Co (0.6354, 0.3646, 0.4386)
Co (0.9268, 0.0732, 0.2500)
B (0.2398, 0.7602, 0.2500)
B (0.7602, 0.2398, 0.7500)

Largest 10 diffraction maxima, in order of falling intensity, 10° ≤ 2θ ≤ 90°:
2theta	intensity
44.7	100
46.0	90
49.3	49
47.3	41
37.9	38
43.5	35
88.6	24
80.4	23
54.7	22
45.6	19

---

This entry pairs a crystal structure of Dy2TcN4 with its calculated powder diffractogram. Radiation: Cu Kα (weighted mean of Kα1 and Kα2). Structure: DFT lattice parameters and positions (GGA-PBE).

Cell and atoms:
Cell: 5.8033 5.7976 6.4925 Å, 90.00 107.51 90.00°
Element x y z (fractional)
Dy (0.1695, 0.2500, 0.0360)
Dy (0.2330, 0.2500, 0.5569)
Dy (0.7670, 0.7500, 0.4431)
Dy (0.8305, 0.7500, 0.9640)
Tc (0.2898, 0.7500, 0.8133)
Tc (0.7102, 0.2500, 0.1867)
N (0.0434, 0.5139, 0.7539)
N (0.0434, 0.9861, 0.7539)
N (0.4678, 0.7500, 0.0915)
N (0.4814, 0.7500, 0.6389)
N (0.5186, 0.2500, 0.3611)
N (0.5322, 0.2500, 0.9085)
N (0.9566, 0.0139, 0.2461)
N (0.9566, 0.4861, 0.2461)

Largest 10 diffraction maxima, in order of falling intensity, 10° ≤ 2θ ≤ 90°:
2theta	intensity
30.8	100
22.2	96
39.8	80
40.5	72
32.5	67
32.8	47
45.3	42
36.0	41
32.4	39
24.6	29

---

This entry pairs a crystal structure of Nb6VW3 with its calculated powder diffractogram. Radiation: Cu Kα (weighted mean of Kα1 and Kα2). Structure: DFT lattice parameters and positions (GGA-PBE).

Cell and atoms:
Cell: 7.9631 4.6046 9.7068 Å, 90.00 105.75 90.00°
Element x y z (fractional)
Nb (0.0480, 0.2500, 0.3998)
Nb (0.1479, 0.7500, 0.1974)
Nb (0.2519, 0.2500, 0.9973)
Nb (0.3493, 0.7500, 0.8032)
Nb (0.3515, 0.2500, 0.2959)
Nb (0.4478, 0.2500, 0.6020)
Nb (0.5522, 0.7500, 0.3980)
Nb (0.6485, 0.7500, 0.7041)
Nb (0.6507, 0.2500, 0.1968)
Nb (0.7481, 0.7500, 0.0027)
Nb (0.8521, 0.2500, 0.8026)
Nb (0.9520, 0.7500, 0.6002)
V (0.4511, 0.7500, 0.0949)
V (0.5489, 0.2500, 0.9051)
W (0.0518, 0.7500, 0.9012)
W (0.1520, 0.2500, 0.7012)
W (0.2504, 0.7500, 0.4997)
W (0.7496, 0.2500, 0.5003)
W (0.8480, 0.7500, 0.2988)
W (0.9482, 0.2500, 0.0988)

Largest 10 diffraction maxima, in order of falling intensity, 10° ≤ 2θ ≤ 90°:
2theta	intensity
39.2	100
39.3	99
71.0	40
56.7	34
11.5	12
71.2	11
71.4	11
27.5	8
84.2	7
84.5	7

---

This entry pairs a crystal structure of U3BeTl3Se8 with its calculated powder diffractogram. Radiation: Cu Kα (weighted mean of Kα1 and Kα2). Structure: DFT lattice parameters and positions (GGA-PBE).

Cell and atoms:
Cell: 8.0891 8.0891 9.2196 Å, 116.03 116.03 60.03°
Element x y z (fractional)
U (0.0000, 0.0000, 0.0000)
U (0.0000, 0.5000, 0.0000)
U (0.5000, 0.0000, 0.0000)
Be (0.5000, 0.5000, 0.0000)
Tl (0.0000, 0.5000, 0.5000)
Tl (0.5000, 0.0000, 0.5000)
Tl (0.5000, 0.5000, 0.5000)
Se (0.2366, 0.2366, 0.2092)
Se (0.2541, 0.7168, 0.1873)
Se (0.2832, 0.7459, 0.8127)
Se (0.2850, 0.2850, 0.8141)
Se (0.7150, 0.7150, 0.1859)
Se (0.7168, 0.2541, 0.1873)
Se (0.7459, 0.2832, 0.8127)
Se (0.7634, 0.7634, 0.7908)

Largest 10 diffraction maxima, in order of falling intensity, 10° ≤ 2θ ≤ 90°:
2theta	intensity
29.6	100
39.7	36
44.8	34
14.7	25
54.6	18
26.5	17
73.2	15
22.4	12
65.9	12
19.6	11